[1]
Structure and computed X-ray diffraction stick pattern of Dy3MgAl8 (a DFT-relaxed cell (GGA-PBE, Alexandria); Cu Kα (weighted mean of Kα1 and Kα2)).
Intensities are scaled so that the largest is 100.

Cell and atoms:
abc: 5.5545 5.5545 8.9258
angles: 90.00 90.00 120.00
Positions (direct):
Dy  0.0000  0.0000  0.0000
Dy  0.0000  0.0000  0.3681
Dy  0.3333  0.6667  0.8607
Mg  0.3333  0.6667  0.4878
Al  0.0079  0.5039  0.1794
Al  0.3233  0.1616  0.6777
Al  0.4961  0.5039  0.1794
Al  0.4961  0.9921  0.1794
Al  0.6667  0.3333  0.4307
Al  0.6667  0.3333  0.9252
Al  0.8384  0.1616  0.6777
Al  0.8384  0.6767  0.6777

Largest 8 diffraction maxima, in order of rising 2θ, 10° ≤ 2θ ≤ 90°:
2θ (°)	I (rel.)	(hkl)
18.4	49	1 0 0
21.0	53	1 0 1
27.3	33	1 0 2
32.2	74	1 1 0
35.5	100	1 0 3
38.2	76	1 1 2
38.8	41	0 2 1
59.6	43	2 1 3

=====

[2]
Structure and computed X-ray diffraction stick pattern of DyMg3Al8 (a DFT-relaxed cell (GGA-PBE, Alexandria); Cu Kα (weighted mean of Kα1 and Kα2)).
Intensities are scaled so that the largest is 100.

Cell and atoms:
abc: 5.5034 5.5034 8.7523
angles: 90.00 90.00 120.00
Positions (direct):
Dy  0.0000  0.0000  0.0000
Mg  0.0000  0.0000  0.3750
Mg  0.6667  0.3333  0.4987
Mg  0.6667  0.3333  0.8656
Al  0.1625  0.3249  0.6842
Al  0.1625  0.8375  0.6842
Al  0.3333  0.6667  0.4400
Al  0.3333  0.6667  0.9352
Al  0.5039  0.0078  0.1846
Al  0.5039  0.4961  0.1846
Al  0.6751  0.8375  0.6842
Al  0.9922  0.4961  0.1846

Largest 8 diffraction maxima, in order of rising 2θ, 10° ≤ 2θ ≤ 90°:
2θ (°)	I (rel.)	(hkl)
10.1	82	0 0 1
18.6	57	1 0 0
21.2	93	1 0 1
27.7	55	0 1 2
32.5	55	1 1 0
36.1	95	0 1 3
38.7	100	1 1 2
39.2	75	2 0 1